Theoretical XRD peak list of Sr2TlWO6 for Cu Kα X-rays, from a crystal structure in Alexandria, relaxed with GGA+U.

Main lines, in order of rising 2θ (2θ = 10–80°):
| two_theta | d [Å] | I (rel.) | h k l |
| --- | --- | --- | --- |
| 20.83 | 4.265 | 44 | 0 1 2 |
| 29.12 | 3.067 | 100 | 1 1 0 |
| 30.11 | 2.968 | 94 | 1 0 4 |
| 42.38 | 2.133 | 47 | 0 2 4 |
| 48.34 | 1.883 | 13 | 2 -1 6 |
| 51.62 | 1.771 | 26 | 3 0 0 |
| 52.25 | 1.751 | 44 | 3 -1 4 |
| 54.09 | 1.695 | 17 | 0 1 8 |
| 60.36 | 1.533 | 14 | 2 2 0 |
| 62.61 | 1.484 | 13 | 2 0 8 |
| 68.93 | 1.362 | 18 | 4 -3 4 |
| 70.50 | 1.336 | 17 | 1 2 8 |

Atomic structure:
```
data_Sr2TlWO6
_symmetry_space_group_name_H-M 'R -3'
_symmetry_Int_Tables_number 148
_symmetry_space_group_name_Hall '-R 3'
_cell_length_a 6.1336
_cell_length_b 6.1336
_cell_length_c 14.3122
_cell_angle_alpha 90.00
_cell_angle_beta 90.00
_cell_angle_gamma 120.00
loop_
_atom_site_label
_atom_site_type_symbol
_atom_site_fract_x
_atom_site_fract_y
_atom_site_fract_z
_atom_site_occupancy
Sr1 Sr 0.0000 0.0000 0.2367 1
Tl1 Tl 0.0000 0.0000 0.5000 1
W1 W 0.0000 0.0000 0.0000 1
O1 O 0.0387 0.2770 0.0796 1
```